For AlCuIrO6, a cell relaxed with PBE gives the simulated powder diffractogram in this record (Cu Kα (weighted mean of Kα1 and Kα2)).
No peak broadening, texture or thermal motion is included.

Largest 10 diffraction maxima, in order of rising 2θ, 10 to 80 degrees two-theta:
2theta, I_rel
20.56, 28
23.13, 100
29.33, 94
36.23, 47
37.61, 30
42.02, 31
43.43, 21
47.28, 24
56.51, 49
60.98, 23

Structural model:
```
data_AlCuIrO6
_cell_length_a 4.9587
_cell_length_b 4.9587
_cell_length_c 8.6389
_cell_angle_alpha 90.00
_cell_angle_beta 90.00
_cell_angle_gamma 120.00
_symmetry_space_group_name_H-M 'P -3 1 c'
_symmetry_Int_Tables_number 163
_symmetry_space_group_name_Hall '-P 3 2c'
loop_
_atom_site_label
_atom_site_type_symbol
_atom_site_fract_x
_atom_site_fract_y
_atom_site_fract_z
_atom_site_occupancy
Al1 Al 0.3333 0.6667 0.2500 1
Cu1 Cu 0.0000 0.0000 0.0000 1
Ir1 Ir 0.3333 0.6667 0.7500 1
O1 O 0.0046 0.3545 0.1302 1
```

For AlCu2IrRh, a cell relaxed with PBE gives the simulated powder diffractogram in this record (Cu Kα (weighted mean of Kα1 and Kα2)).
No peak broadening, texture or thermal motion is included.

Largest 10 diffraction maxima, in order of rising 2θ, 10 to 80 degrees two-theta:
2theta, I_rel
20.58, 14
29.26, 17
35.70, 100
40.64, 22
41.86, 41
59.77, 28
60.69, 13
70.75, 13
72.45, 24
75.62, 14

Structural model:
```
data_AlCu2IrRh
_cell_length_a 4.316
_cell_length_b 4.316
_cell_length_c 4.440
_cell_angle_alpha 90.00
_cell_angle_beta 90.00
_cell_angle_gamma 90.00
_symmetry_space_group_name_H-M 'P 4/m m m'
_symmetry_Int_Tables_number 123
_symmetry_space_group_name_Hall '-P 4 2'
loop_
_atom_site_label
_atom_site_type_symbol
_atom_site_fract_x
_atom_site_fract_y
_atom_site_fract_z
_atom_site_occupancy
Al1 Al 0.000 0.000 0.000 1
Cu1 Cu 0.000 0.500 0.000 1
Ir1 Ir 0.000 0.000 0.500 1
Rh1 Rh 0.500 0.500 0.500 1
```

For Tb2Al4CuIr3, a cell relaxed with PBE gives the simulated powder diffractogram in this record (Cu Kα (weighted mean of Kα1 and Kα2)).
No peak broadening, texture or thermal motion is included.

Largest 10 diffraction maxima, in order of rising 2θ, 10 to 80 degrees two-theta:
2theta, I_rel
25.21, 29
27.40, 45
30.64, 28
31.81, 45
33.39, 73
35.11, 100
43.89, 63
48.27, 44
56.24, 33
67.27, 33

Structural model:
```
data_Tb2Al4CuIr3
_cell_length_a 4.126
_cell_length_b 4.126
_cell_length_c 10.599
_cell_angle_alpha 90.00
_cell_angle_beta 90.00
_cell_angle_gamma 90.00
_symmetry_space_group_name_H-M 'P -4 m 2'
_symmetry_Int_Tables_number 115
loop_
_symmetry_equiv_pos_as_xyz
'x,y,z'
'y,-x,-z'
'-x,-y,z'
'-y,x,-z'
'-x,y,z'
'-y,-x,-z'
'x,-y,z'
'y,x,-z'
loop_
_atom_site_label
_atom_site_type_symbol
_atom_site_fract_x
_atom_site_fract_y
_atom_site_fract_z
_atom_site_occupancy
Tb1 Tb 0.000 0.500 0.250 1
Al1 Al 0.000 0.000 0.000 1
Al2 Al 0.000 0.500 0.627 1
Al3 Al 0.500 0.500 0.000 1
Cu1 Cu 0.000 0.000 0.500 1
Ir1 Ir 0.000 0.500 0.861 1
Ir2 Ir 0.500 0.500 0.500 1
```

For KAlCu3, a cell relaxed with PBE gives the simulated powder diffractogram in this record (Cu Kα (weighted mean of Kα1 and Kα2)).
No peak broadening, texture or thermal motion is included.

Largest 9 diffraction maxima, in order of rising 2θ, 10 to 80 degrees two-theta:
2theta, I_rel
18.53, 19
32.39, 100
37.57, 76
42.21, 9
54.18, 49
57.77, 5
64.56, 35
67.80, 16
70.98, 2

Structural model:
```
data_KAlCu3
_cell_length_a 4.788
_cell_length_b 4.788
_cell_length_c 4.788
_cell_angle_alpha 90.00
_cell_angle_beta 90.00
_cell_angle_gamma 90.00
_symmetry_space_group_name_H-M 'P m -3 m'
_symmetry_Int_Tables_number 221
_symmetry_space_group_name_Hall '-P 4 2 3'
loop_
_atom_site_label
_atom_site_type_symbol
_atom_site_fract_x
_atom_site_fract_y
_atom_site_fract_z
_atom_site_occupancy
K1 K 0.000 0.000 0.000 1
Al1 Al 0.500 0.500 0.500 1
Cu1 Cu 0.000 0.500 0.500 1
```

For KAlCu2S4, a cell relaxed with PBE gives the simulated powder diffractogram in this record (Cu Kα (weighted mean of Kα1 and Kα2)).
No peak broadening, texture or thermal motion is included.

Largest 10 diffraction maxima, in order of rising 2θ, 10 to 80 degrees two-theta:
2theta, I_rel
20.06, 7
21.12, 20
28.51, 9
29.28, 100
33.74, 12
40.77, 33
46.35, 7
50.98, 40
52.40, 24
59.02, 7

Structural model:
```
data_KAlCu2S4
_cell_length_a 6.261
_cell_length_b 6.261
_cell_length_c 8.415
_cell_angle_alpha 90.00
_cell_angle_beta 90.00
_cell_angle_gamma 90.00
_symmetry_space_group_name_H-M 'I -4 2 m'
_symmetry_Int_Tables_number 121
_symmetry_space_group_name_Hall 'I -4 2'
loop_
_atom_site_label
_atom_site_type_symbol
_atom_site_fract_x
_atom_site_fract_y
_atom_site_fract_z
_atom_site_occupancy
K1 K 0.000 0.000 0.000 1
Al1 Al 0.000 0.000 0.500 1
Cu1 Cu 0.000 0.500 0.250 1
S1 S 0.202 0.202 0.336 1
```

For KAlCu2Te4, a cell relaxed with PBE gives the simulated powder diffractogram in this record (Cu Kα (weighted mean of Kα1 and Kα2)).
No peak broadening, texture or thermal motion is included.

Largest 10 diffraction maxima, in order of rising 2θ, 10 to 80 degrees two-theta:
2theta, I_rel
18.68, 27
24.96, 13
25.76, 100
29.53, 34
35.58, 36
42.04, 23
44.45, 34
45.90, 18
53.84, 17
54.69, 12

Structural model:
```
data_KAlCu2Te4
_cell_length_a 7.136
_cell_length_b 7.136
_cell_length_c 9.501
_cell_angle_alpha 90.00
_cell_angle_beta 90.00
_cell_angle_gamma 90.00
_symmetry_space_group_name_H-M 'I -4 2 m'
_symmetry_Int_Tables_number 121
_symmetry_space_group_name_Hall 'I -4 2'
loop_
_atom_site_label
_atom_site_type_symbol
_atom_site_fract_x
_atom_site_fract_y
_atom_site_fract_z
_atom_site_occupancy
K1 K 0.000 0.000 0.000 1
Al1 Al 0.000 0.000 0.500 1
Cu1 Cu 0.000 0.500 0.250 1
Te1 Te 0.208 0.208 0.667 1
```